1.
For Th2MgNi12B3, the PBE geometry in Alexandria gives the simulated X-ray powder pattern in this record (Cu Kα (weighted mean of Kα1 and Kα2)).

Cell and atoms:
Unit cell a=7.1284 b=7.1284 c=7.1284 alpha=58.55 beta=58.55 gamma=58.55
Positions (direct):
Th: 0.0978 0.0978 0.0978
Th: 0.9022 0.9022 0.9022
Mg: 0.5000 0.5000 0.5000
Ni: 0.0175 0.6496 0.6496
Ni: 0.2267 0.2267 0.6241
Ni: 0.2267 0.6241 0.2267
Ni: 0.3504 0.3504 0.9825
Ni: 0.3504 0.9825 0.3504
Ni: 0.3759 0.7733 0.7733
Ni: 0.6241 0.2267 0.2267
Ni: 0.6496 0.0175 0.6496
Ni: 0.6496 0.6496 0.0175
Ni: 0.7733 0.3759 0.7733
Ni: 0.7733 0.7733 0.3759
Ni: 0.9825 0.3504 0.3504
B: 0.0000 0.5000 0.5000
B: 0.5000 0.0000 0.5000
B: 0.5000 0.5000 0.0000

Top 10 peaks for 2θ = 10–90°, by angle:
2θ = 15.51°, d 5.713, intensity 53
2θ = 25.55°, d 3.486, intensity 32
2θ = 30.03°, d 2.976, intensity 43
2θ = 36.05°, d 2.492, intensity 30
2θ = 38.70°, d 2.327, intensity 25
2θ = 39.27°, d 2.294, intensity 100
2θ = 40.11°, d 2.248, intensity 25
2θ = 40.84°, d 2.209, intensity 50
2θ = 52.50°, d 1.743, intensity 26
2θ = 60.79°, d 1.524, intensity 27



2.
For Pr2Sm2Th15, the PBE geometry in Alexandria gives the simulated X-ray powder pattern in this record (Cu Kα (weighted mean of Kα1 and Kα2)).

Cell and atoms:
Unit cell a=8.7903 b=8.7903 c=8.7903 alpha=82.19 beta=82.19 gamma=82.19
Positions (direct):
Pr: 0.1515 0.1515 0.1515
Pr: 0.8485 0.8485 0.8485
Sm: 0.3979 0.3979 0.3979
Sm: 0.6021 0.6021 0.6021
Th: 0.0000 0.5000 0.5000
Th: 0.1571 0.1571 0.6764
Th: 0.1571 0.6764 0.1571
Th: 0.1931 0.5000 0.8069
Th: 0.1931 0.8069 0.5000
Th: 0.3236 0.8429 0.8429
Th: 0.5000 0.0000 0.5000
Th: 0.5000 0.1931 0.8069
Th: 0.5000 0.5000 0.0000
Th: 0.5000 0.8069 0.1931
Th: 0.6764 0.1571 0.1571
Th: 0.8069 0.1931 0.5000
Th: 0.8069 0.5000 0.1931
Th: 0.8429 0.3236 0.8429
Th: 0.8429 0.8429 0.3236

Top 10 peaks for 2θ = 10–90°, by angle:
2θ = 15.34°, d 5.778, intensity 22
2θ = 26.72°, d 3.336, intensity 15
2θ = 31.01°, d 2.884, intensity 100
2θ = 31.26°, d 2.862, intensity 29
2θ = 34.79°, d 2.579, intensity 70
2θ = 34.99°, d 2.564, intensity 20
2θ = 49.96°, d 1.825, intensity 14
2θ = 55.06°, d 1.668, intensity 20
2θ = 55.48°, d 1.656, intensity 21
2θ = 64.69°, d 1.441, intensity 17



3.
For TaCu2Pt9, the PBE geometry in Alexandria gives the simulated X-ray powder pattern in this record (Cu Kα (weighted mean of Kα1 and Kα2)).

Cell and atoms:
Unit cell a=3.9448 b=3.9448 c=11.7673 alpha=90.00 beta=90.00 gamma=90.00
Positions (direct):
Ta: 0.0000 0.0000 0.0000
Cu: 0.0000 0.0000 0.3392
Cu: 0.0000 0.0000 0.6608
Pt: 0.0000 0.5000 0.1674
Pt: 0.0000 0.5000 0.5000
Pt: 0.0000 0.5000 0.8326
Pt: 0.5000 0.0000 0.1674
Pt: 0.5000 0.0000 0.5000
Pt: 0.5000 0.0000 0.8326
Pt: 0.5000 0.5000 0.0000
Pt: 0.5000 0.5000 0.3341
Pt: 0.5000 0.5000 0.6659

Top 10 peaks for 2θ = 10–90°, by angle:
2θ = 22.54°, d 3.945, intensity 3
2θ = 32.15°, d 2.784, intensity 4
2θ = 39.65°, d 2.273, intensity 100
2θ = 46.02°, d 1.972, intensity 33
2θ = 46.29°, d 1.961, intensity 16
2θ = 67.11°, d 1.395, intensity 11
2θ = 67.33°, d 1.391, intensity 21
2θ = 80.86°, d 1.189, intensity 26
2θ = 81.26°, d 1.184, intensity 13
2θ = 85.42°, d 1.137, intensity 11